[1]
This entry pairs a crystal structure of BaWO3 with its simulated PXRD pattern. Radiation: Cu Ka. Structure: a structure optimized by DFT (GGA+U).
Peak positions follow from Bragg's law for the DFT cell and can differ from measured ones.

```
data_BaWO3
_chemical_formula_sum 'Ba1 W1 O3'
_cell_length_a 4.1644
_cell_length_b 4.1644
_cell_length_c 4.1644
_cell_angle_alpha 90.00
_cell_angle_beta 90.00
_cell_angle_gamma 90.00
_space_group_name_H-M_alt 'P m -3 m'
_space_group_IT_number 221
_space_group_name_Hall '-P 4 2 3'
loop_
_atom_site_label
_atom_site_type_symbol
_atom_site_fract_x
_atom_site_fract_y
_atom_site_fract_z
_atom_site_occupancy
Ba1 Ba 0.0000 0.0000 0.0000 1
W1 W 0.5000 0.5000 0.5000 1
O1 O 0.0000 0.5000 0.5000 1
```

Peak list (10 most intense, 10 to 90 degrees two-theta, in order of rising 2θ)
| 2theta | I/Imax |
| --- | --- |
| 21.34 | 6 |
| 30.35 | 100 |
| 43.46 | 28 |
| 48.91 | 3 |
| 53.93 | 41 |
| 63.15 | 18 |
| 67.47 | 1 |
| 71.66 | 18 |
| 79.78 | 6 |
| 87.68 | 22 |


[2]
This entry pairs a crystal structure of FeOF with its simulated PXRD pattern. Radiation: Cu Ka. Structure: a structure optimized by DFT (GGA+U).
Peak positions follow from Bragg's law for the DFT cell and can differ from measured ones.

```
data_FeOF
_chemical_formula_sum 'Fe4 O4 F4'
_cell_length_a 6.3828
_cell_length_b 7.1496
_cell_length_c 3.0744
_cell_angle_alpha 90.00
_cell_angle_beta 90.00
_cell_angle_gamma 90.00
_space_group_name_H-M_alt 'C m m m'
_space_group_IT_number 65
_space_group_name_Hall '-C 2 2'
loop_
_atom_site_label
_atom_site_type_symbol
_atom_site_fract_x
_atom_site_fract_y
_atom_site_fract_z
_atom_site_occupancy
Fe1 Fe 0.0000 0.0000 0.0000 1
Fe2 Fe 0.0000 0.5000 0.5000 1
O1 O 0.1998 0.0000 0.5000 1
F1 F 0.0000 0.3084 0.0000 1
```

Peak list (10 most intense, 10 to 90 degrees two-theta, in order of rising 2θ)
| 2theta | I/Imax |
| --- | --- |
| 24.91 | 100 |
| 27.96 | 84 |
| 34.73 | 95 |
| 37.79 | 17 |
| 38.63 | 15 |
| 50.52 | 69 |
| 51.10 | 19 |
| 53.96 | 46 |
| 60.20 | 16 |
| 66.25 | 51 |


[3]
This entry pairs a crystal structure of Li2FeP2HO8 with its simulated PXRD pattern. Radiation: Cu Ka. Structure: a structure optimized by DFT (GGA+U).
Peak positions follow from Bragg's law for the DFT cell and can differ from measured ones.

```
data_Li2FeP2HO8
_chemical_formula_sum 'Li4 Fe2 P4 H2 O16'
_cell_length_a 4.8692
_cell_length_b 8.1144
_cell_length_c 7.5926
_cell_angle_alpha 90.00
_cell_angle_beta 104.32
_cell_angle_gamma 90.00
_space_group_name_H-M_alt 'P 1 21 1'
_space_group_IT_number 4
_space_group_name_Hall 'P 2yb'
loop_
_atom_site_label
_atom_site_type_symbol
_atom_site_fract_x
_atom_site_fract_y
_atom_site_fract_z
_atom_site_occupancy
Li1 Li 0.1327 0.0000 0.0929 1
Li2 Li 0.3544 0.2680 0.4090 1
Fe1 Fe 0.2489 0.6334 0.2546 1
P1 P 0.1188 0.9818 0.4813 1
P2 P 0.3818 0.2888 0.0124 1
H1 H 0.2820 0.6448 0.7628 1
O1 O 0.0062 0.5749 0.6982 1
O2 O 0.0994 0.4584 0.4022 1
O3 O 0.1350 0.1787 0.9105 1
O4 O 0.2353 0.8125 0.4378 1
O5 O 0.2691 0.4544 0.0644 1
O6 O 0.3682 0.0886 0.5908 1
O7 O 0.3933 0.8099 0.0970 1
O8 O 0.4918 0.6938 0.8025 1
```

Peak list (10 most intense, 10 to 90 degrees two-theta, in order of rising 2θ)
| 2theta | I/Imax |
| --- | --- |
| 16.26 | 58 |
| 22.55 | 36 |
| 24.81 | 72 |
| 25.07 | 40 |
| 29.01 | 100 |
| 29.61 | 22 |
| 32.87 | 46 |
| 43.10 | 17 |
| 51.25 | 18 |
| 58.16 | 18 |


[4]
This entry pairs a crystal structure of Na2CrCSO7 with its simulated PXRD pattern. Radiation: Cu Ka. Structure: a structure optimized by DFT (GGA+U).
Peak positions follow from Bragg's law for the DFT cell and can differ from measured ones.

```
data_Na2CrCSO7
_chemical_formula_sum 'Na4 Cr2 C2 S2 O14'
_cell_length_a 5.2114
_cell_length_b 7.2375
_cell_length_c 8.9409
_cell_angle_alpha 90.00
_cell_angle_beta 92.22
_cell_angle_gamma 90.00
_space_group_name_H-M_alt 'P 1 21/m 1'
_space_group_IT_number 11
_space_group_name_Hall '-P 2yb'
loop_
_atom_site_label
_atom_site_type_symbol
_atom_site_fract_x
_atom_site_fract_y
_atom_site_fract_z
_atom_site_occupancy
Na1 Na 0.2327 0.0011 0.2888 1
Cr1 Cr 0.2248 0.7500 0.8609 1
C1 C 0.2783 0.7500 0.5841 1
S1 S 0.2691 0.2500 0.9099 1
O1 O 0.0533 0.7500 0.6471 1
O2 O 0.1563 0.2500 0.0629 1
O3 O 0.1882 0.0820 0.8270 1
O4 O 0.3033 0.7500 0.4445 1
O5 O 0.4410 0.7500 0.0668 1
O6 O 0.4756 0.7500 0.6822 1
```

Peak list (10 most intense, 10 to 90 degrees two-theta, in order of rising 2θ)
| 2theta | I/Imax |
| --- | --- |
| 15.76 | 57 |
| 23.56 | 41 |
| 24.60 | 100 |
| 25.77 | 99 |
| 26.79 | 46 |
| 31.52 | 59 |
| 31.82 | 48 |
| 31.95 | 53 |
| 34.44 | 56 |
| 50.44 | 36 |


[5]
This entry pairs a crystal structure of Li3Mn2FeB3O9 with its simulated PXRD pattern. Radiation: Cu Ka. Structure: a structure optimized by DFT (GGA+U).
Peak positions follow from Bragg's law for the DFT cell and can differ from measured ones.

```
data_Li3Mn2FeB3O9
_chemical_formula_sum 'Li6 Mn4 Fe2 B6 O18'
_cell_length_a 8.2571
_cell_length_b 6.3400
_cell_length_c 8.2703
_cell_angle_alpha 90.00
_cell_angle_beta 119.88
_cell_angle_gamma 90.00
_space_group_name_H-M_alt 'P 1 m 1'
_space_group_IT_number 6
_space_group_name_Hall 'P -2y'
loop_
_atom_site_label
_atom_site_type_symbol
_atom_site_fract_x
_atom_site_fract_y
_atom_site_fract_z
_atom_site_occupancy
Li1 Li 0.0000 0.2494 0.0000 1
Li2 Li 0.2673 0.2490 0.5864 1
Li3 Li 0.5855 0.2498 0.3184 1
Mn1 Mn 0.2961 0.5000 0.9429 1
Mn2 Mn 0.6427 0.5000 0.6727 1
Mn3 Mn 0.9105 0.0000 0.2897 1
Mn4 Mn 0.9129 0.5000 0.2900 1
Fe1 Fe 0.2916 0.0000 0.9418 1
Fe2 Fe 0.6434 0.0000 0.6684 1
B1 B 0.2839 0.5000 0.3019 1
B2 B 0.2866 0.0000 0.3039 1
B3 B 0.6164 0.2472 0.9673 1
B4 B 0.9507 0.2463 0.6361 1
O1 O 0.1444 0.2458 0.7437 1
O2 O 0.1682 0.5000 0.1087 1
O3 O 0.1774 0.0000 0.1096 1
O4 O 0.2030 0.0000 0.4134 1
O5 O 0.2061 0.5000 0.4176 1
O6 O 0.4773 0.5000 0.3792 1
O7 O 0.4807 0.0000 0.3872 1
O8 O 0.5041 0.2472 0.0489 1
O9 O 0.5359 0.2465 0.7743 1
O10 O 0.8101 0.2493 0.0794 1
O11 O 0.8427 0.2461 0.7217 1
O12 O 0.8652 0.2500 0.4432 1
```

Peak list (10 most intense, 10 to 90 degrees two-theta, in order of rising 2θ)
| 2theta | I/Imax |
| --- | --- |
| 21.49 | 100 |
| 30.85 | 17 |
| 33.09 | 15 |
| 35.69 | 81 |
| 37.66 | 22 |
| 37.73 | 11 |
| 47.69 | 28 |
| 52.85 | 17 |
| 54.49 | 12 |
| 58.21 | 11 |